For Na3Mn3O8, a cell relaxed with PBE+U gives the calculated X-ray diffraction stick pattern in this record (Cu Kα, 1.54184 Å).
Neutral-atom scattering factors, no anomalous dispersion.

Principal peaks in the range 15° ≤ 2θ ≤ 90°, low angle first:
2θ (°)	I/Imax	h k l
17.52	86	1 1 1
22.67	23	2 1 0
33.90	100	3 1 1
41.18	46	4 0 0
54.36	33	5 1 1
59.64	39	4 4 0

Cell and atoms:
```
data_Na3Mn3O8
_chemical_formula_sum 'Na12 Mn12 O32'
_cell_length_a 8.769
_cell_length_b 8.769
_cell_length_c 8.769
_cell_angle_alpha 90.00
_cell_angle_beta 90.00
_cell_angle_gamma 90.00
_symmetry_space_group_name_H-M 'P 43 3 2'
_symmetry_Int_Tables_number 212
_symmetry_space_group_name_Hall 'P 4acd 2ab 3'
loop_
_atom_site_label
_atom_site_type_symbol
_atom_site_fract_x
_atom_site_fract_y
_atom_site_fract_z
_atom_site_occupancy
Na1 Na 0.013 0.013 0.013 1
Na2 Na 0.125 0.875 0.375 1
Mn1 Mn 0.104 0.146 0.625 1
O1 O 0.069 0.142 0.407 1
O2 O 0.120 0.620 0.880 1
```

For Mg2Ta2Mn2O9, a cell relaxed with PBE+U gives the calculated X-ray diffraction stick pattern in this record (Cu Kα, 1.54184 Å).
Neutral-atom scattering factors, no anomalous dispersion.

Principal peaks in the range 15° ≤ 2θ ≤ 90°, low angle first:
2θ (°)	I/Imax	h k l
19.34	100	1 0 0
31.52	100	1 0 4
33.83	63	1 1 0
46.91	37	0 2 4
51.27	34	1 1 6
59.08	36	2 1 4

Cell and atoms:
```
data_Mg2Ta2Mn2O9
_chemical_formula_sum 'Mg4 Ta4 Mn4 O18'
_cell_length_a 5.2994
_cell_length_b 5.2994
_cell_length_c 14.4483
_cell_angle_alpha 90.00
_cell_angle_beta 90.00
_cell_angle_gamma 120.00
_symmetry_space_group_name_H-M 'P -3 c 1'
_symmetry_Int_Tables_number 165
_symmetry_space_group_name_Hall '-P 3 2"c'
loop_
_atom_site_label
_atom_site_type_symbol
_atom_site_fract_x
_atom_site_fract_y
_atom_site_fract_z
_atom_site_occupancy
Mg1 Mg 0.3333 0.6667 0.3080 1
Ta1 Ta 0.0000 0.0000 0.1455 1
Mn1 Mn 0.3333 0.6667 0.0196 1
O1 O 0.0000 0.2870 0.2500 1
O2 O 0.0340 0.3425 0.9117 1
```

For Cr2H8N2O7, a cell relaxed with PBE+U gives the calculated X-ray diffraction stick pattern in this record (Cu Kα, 1.54184 Å).
Neutral-atom scattering factors, no anomalous dispersion.

Principal peaks in the range 15° ≤ 2θ ≤ 90°, low angle first:
2θ (°)	I/Imax	h k l
17.31	100	1 1 -1
25.71	35	2 0 -2
26.07	45	0 2 1
26.23	44	3 1 1
26.52	31	4 0 0
27.01	37	2 0 2

Cell and atoms:
```
data_Cr2H8N2O7
_chemical_formula_sum 'Cr8 H32 N8 O28'
_cell_length_a 13.467
_cell_length_b 7.608
_cell_length_c 7.832
_cell_angle_alpha 90.00
_cell_angle_beta 93.23
_cell_angle_gamma 90.00
_symmetry_space_group_name_H-M 'C 1 2/c 1'
_symmetry_Int_Tables_number 15
loop_
_symmetry_equiv_pos_as_xyz
'x,y,z'
'-x,-y,-z'
'-x,y,-z+1/2'
'x,-y,z+1/2'
'x+1/2,y+1/2,z'
'-x+1/2,-y+1/2,-z'
'-x+1/2,y+1/2,-z+1/2'
'x+1/2,-y+1/2,z+1/2'
loop_
_atom_site_label
_atom_site_type_symbol
_atom_site_fract_x
_atom_site_fract_y
_atom_site_fract_z
_atom_site_occupancy
Cr1 Cr 0.101 0.169 0.360 1
H1 H 0.102 0.303 0.733 1
H2 H 0.109 0.311 0.952 1
H3 H 0.149 0.480 0.834 1
H4 H 0.214 0.288 0.840 1
N1 N 0.143 0.345 0.842 1
O1 O 0.000 0.052 0.250 1
O2 O 0.056 0.301 0.502 1
O3 O 0.159 0.289 0.221 1
O4 O 0.177 0.029 0.451 1
```

For V3BiPb3O12, a cell relaxed with PBE+U gives the calculated X-ray diffraction stick pattern in this record (Cu Kα, 1.54184 Å).
Neutral-atom scattering factors, no anomalous dispersion.

Principal peaks in the range 15° ≤ 2θ ≤ 90°, low angle first:
2θ (°)	I/Imax	h k l
19.78	63	2 2 -1
25.62	100	0 2 2
30.42	81	1 5 -1
40.17	38	4 4 -2
41.88	35	1 5 -3
51.18	23	6 0 -4

Cell and atoms:
```
data_V3BiPb3O12
_chemical_formula_sum 'V12 Bi4 Pb12 O48'
_cell_length_a 11.003
_cell_length_b 15.570
_cell_length_c 9.503
_cell_angle_alpha 90.00
_cell_angle_beta 125.30
_cell_angle_gamma 90.00
_symmetry_space_group_name_H-M 'C 1 c 1'
_symmetry_Int_Tables_number 9
loop_
_symmetry_equiv_pos_as_xyz
'x,y,z'
'x,-y,z+1/2'
'x+1/2,y+1/2,z'
'x+1/2,-y+1/2,z+1/2'
loop_
_atom_site_label
_atom_site_type_symbol
_atom_site_fract_x
_atom_site_fract_y
_atom_site_fract_z
_atom_site_occupancy
V1 V 0.000 0.063 0.000 1
V2 V 0.063 0.373 0.873 1
V3 V 0.373 0.189 0.752 1
Bi1 Bi 0.474 0.337 0.124 1
Pb1 Pb 0.221 0.249 0.287 1
Pb2 Pb 0.231 0.419 0.621 1
Pb3 Pb 0.317 0.000 0.469 1
O1 O 0.003 0.460 0.932 1
O2 O 0.038 0.078 0.844 1
O3 O 0.060 0.405 0.696 1
O4 O 0.064 0.328 0.398 1
O5 O 0.162 0.079 0.201 1
O6 O 0.247 0.347 0.053 1
O7 O 0.262 0.116 0.774 1
O8 O 0.331 0.175 0.546 1
O9 O 0.336 0.292 0.794 1
O10 O 0.369 0.366 0.472 1
O11 O 0.430 0.457 0.978 1
O12 O 0.451 0.218 0.313 1
```

For Li4V2Co3Sn3O16, a cell relaxed with PBE+U gives the calculated X-ray diffraction stick pattern in this record (Cu Kα, 1.54184 Å).
Neutral-atom scattering factors, no anomalous dispersion.

Principal peaks in the range 15° ≤ 2θ ≤ 90°, low angle first:
2θ (°)	I/Imax	h k l
18.35	100	0 0 2
18.85	38	2 0 -1
19.06	54	1 1 -1
34.83	39	4 0 1
35.15	65	2 2 1
44.16	47	4 0 3

Cell and atoms:
```
data_Li4V2Co3Sn3O16
_chemical_formula_sum 'Li8 V4 Co6 Sn6 O32'
_cell_length_a 10.721
_cell_length_b 6.088
_cell_length_c 9.670
_cell_angle_alpha 90.00
_cell_angle_beta 90.58
_cell_angle_gamma 90.00
_symmetry_space_group_name_H-M 'C 1 m 1'
_symmetry_Int_Tables_number 8
loop_
_symmetry_equiv_pos_as_xyz
'x,y,z'
'x,-y,z'
'x+1/2,y+1/2,z'
'x+1/2,-y+1/2,z'
loop_
_atom_site_label
_atom_site_type_symbol
_atom_site_fract_x
_atom_site_fract_y
_atom_site_fract_z
_atom_site_occupancy
Li1 Li 0.000 0.000 0.000 1
Li2 Li 0.009 0.000 0.520 1
Li3 Li 0.160 0.500 0.099 1
Li4 Li 0.306 0.000 0.600 1
V1 V 0.128 0.500 0.529 1
V2 V 0.314 0.000 0.003 1
Co1 Co 0.071 0.259 0.792 1
Co2 Co 0.167 0.000 0.285 1
Sn1 Sn 0.314 0.500 0.787 1
Sn2 Sn 0.410 0.246 0.286 1
O1 O 0.000 0.500 0.640 1
O2 O 0.001 0.000 0.188 1
O3 O 0.081 0.269 0.414 1
O4 O 0.152 0.500 0.896 1
O5 O 0.172 0.000 0.914 1
O6 O 0.221 0.287 0.647 1
O7 O 0.260 0.215 0.147 1
O8 O 0.327 0.000 0.400 1
O9 O 0.344 0.500 0.408 1
O10 O 0.398 0.233 0.913 1
O11 O 0.480 0.000 0.160 1
O12 O 0.488 0.500 0.709 1
```

For Zn2Co9O13, a cell relaxed with PBE+U gives the calculated X-ray diffraction stick pattern in this record (Cu Kα, 1.54184 Å).
Neutral-atom scattering factors, no anomalous dispersion.

Principal peaks in the range 15° ≤ 2θ ≤ 90°, low angle first:
2θ (°)	I/Imax	h k l
34.77	100	2 0 -6
34.88	90	2 0 5
36.22	57	4 0 -1
43.03	75	3 1 -3
43.99	53	3 1 2
44.98	46	3 1 -4

Cell and atoms:
```
data_Zn2Co9O13
_chemical_formula_sum 'Zn4 Co18 O26'
_cell_length_a 9.920
_cell_length_b 2.927
_cell_length_c 16.774
_cell_angle_alpha 90.00
_cell_angle_beta 98.70
_cell_angle_gamma 90.00
_symmetry_space_group_name_H-M 'C 1 2/m 1'
_symmetry_Int_Tables_number 12
loop_
_symmetry_equiv_pos_as_xyz
'x,y,z'
'-x,-y,-z'
'-x,y,-z'
'x,-y,z'
'x+1/2,y+1/2,z'
'-x+1/2,-y+1/2,-z'
'-x+1/2,y+1/2,-z'
'x+1/2,-y+1/2,z'
loop_
_atom_site_label
_atom_site_type_symbol
_atom_site_fract_x
_atom_site_fract_y
_atom_site_fract_z
_atom_site_occupancy
Zn1 Zn 0.207 0.000 0.233 1
Co1 Co 0.000 0.500 0.500 1
Co2 Co 0.008 0.000 0.670 1
Co3 Co 0.072 0.000 0.872 1
Co4 Co 0.142 0.500 0.041 1
Co5 Co 0.249 0.000 0.583 1
O1 O 0.000 0.000 0.000 1
O2 O 0.071 0.500 0.144 1
O3 O 0.110 0.500 0.609 1
O4 O 0.122 0.000 0.465 1
O5 O 0.132 0.500 0.308 1
O6 O 0.144 0.000 0.777 1
O7 O 0.202 0.500 0.929 1
```

For Mn3ZnP4O14, a cell relaxed with PBE+U gives the calculated X-ray diffraction stick pattern in this record (Cu Kα, 1.54184 Å).
Neutral-atom scattering factors, no anomalous dispersion.

Principal peaks in the range 15° ≤ 2θ ≤ 90°, low angle first:
2θ (°)	I/Imax	h k l
28.10	100	2 1 -2
29.57	50	1 1 -3
29.95	56	1 1 2
30.45	79	1 2 1
32.83	73	2 1 -3
33.39	52	2 1 1

Cell and atoms:
```
data_Mn3ZnP4O14
_chemical_formula_sum 'Mn6 Zn2 P8 O28'
_cell_length_a 7.530
_cell_length_b 7.542
_cell_length_c 9.902
_cell_angle_alpha 90.00
_cell_angle_beta 113.43
_cell_angle_gamma 90.00
_symmetry_space_group_name_H-M 'P 1 21/c 1'
_symmetry_Int_Tables_number 14
loop_
_symmetry_equiv_pos_as_xyz
'x,y,z'
'-x,-y,-z'
'-x,y+1/2,-z+1/2'
'x,-y+1/2,z+1/2'
loop_
_atom_site_label
_atom_site_type_symbol
_atom_site_fract_x
_atom_site_fract_y
_atom_site_fract_z
_atom_site_occupancy
Mn1 Mn 0.000 0.000 0.000 1
Mn2 Mn 0.192 0.121 0.525 1
Zn1 Zn 0.500 0.000 0.000 1
P1 P 0.149 0.711 0.817 1
P2 P 0.408 0.089 0.298 1
O1 O 0.034 0.721 0.651 1
O2 O 0.040 0.603 0.892 1
O3 O 0.223 0.614 0.401 1
O4 O 0.276 0.122 0.133 1
O5 O 0.341 0.601 0.840 1
O6 O 0.377 0.227 0.400 1
O7 O 0.387 0.551 0.184 1
```

For CaCr3F6, a cell relaxed with PBE+U gives the calculated X-ray diffraction stick pattern in this record (Cu Kα, 1.54184 Å).
Neutral-atom scattering factors, no anomalous dispersion.

Principal peaks in the range 15° ≤ 2θ ≤ 90°, low angle first:
2θ (°)	I/Imax	h k l
17.61	100	1 0 1
17.95	88	1 1 1
19.74	100	0 1 1
29.34	57	0 0 2
36.37	55	2 2 2
45.28	40	0 2 -2

Cell and atoms:
```
data_CaCr3F6
_chemical_formula_sum 'Ca1 Cr3 F6'
_cell_length_a 6.431
_cell_length_b 6.482
_cell_length_c 6.713
_cell_angle_alpha 74.81
_cell_angle_beta 65.93
_cell_angle_gamma 66.02
_symmetry_space_group_name_H-M 'P -1'
_symmetry_Int_Tables_number 2
loop_
_symmetry_equiv_pos_as_xyz
'x,y,z'
'-x,-y,-z'
loop_
_atom_site_label
_atom_site_type_symbol
_atom_site_fract_x
_atom_site_fract_y
_atom_site_fract_z
_atom_site_occupancy
Ca1 Ca 0.000 0.000 0.000 1
Cr1 Cr 0.000 0.500 0.000 1
Cr2 Cr 0.500 0.000 0.500 1
Cr3 Cr 0.500 0.500 0.000 1
F1 F 0.123 0.623 0.162 1
F2 F 0.208 0.184 0.044 1
F3 F 0.325 0.806 0.732 1
```